Structure and theoretical powder XRD pattern of PrHo2Cd5 (a structure optimized by DFT (GGA-PBE); Cu Kα X-rays).
Neutral-atom scattering factors, no anomalous dispersion.

Structure:
Cell: 8.358 8.358 8.358 Å, 143.72 143.72 52.24°
Fractional coordinates of all 8 atoms:
Pr1 0.000 0.000 0.000
Ho1 0.263 0.263 0.000
Ho2 0.737 0.737 0.000
Cd1 0.125 0.625 0.500
Cd2 0.375 0.875 0.500
Cd3 0.500 0.500 0.000
Cd4 0.625 0.125 0.500
Cd5 0.875 0.375 0.500

Most intense lines, 15° ≤ 2θ ≤ 90°, sorted by position:
two_theta, I (rel.)
34.13, 100
34.47, 51
48.52, 8
49.54, 18
60.87, 16
61.53, 35
71.87, 10
81.23, 6
82.79, 8
82.98, 8